[1]
Fe2Te3: calculated XRD peak list (Cu Ka), based on a PBE-relaxed structure.

Top 6 peaks for 2θ = 15–90°, by angle:
33.1 deg, I 100
45.9 deg, I 34
49.0 deg, I 38
60.4 deg, I 17
62.7 deg, I 16
81.4 deg, I 15

Cell and atoms:
abc: 6.235 6.235 6.235
angles: 62.19 62.19 62.19
Fractional positions:
Fe  0.158  0.158  0.158
Fe  0.342  0.342  0.342
Fe  0.658  0.658  0.658
Fe  0.842  0.842  0.842
Te  0.082  0.750  0.418
Te  0.250  0.582  0.918
Te  0.418  0.082  0.750
Te  0.582  0.918  0.250
Te  0.750  0.418  0.082
Te  0.918  0.250  0.582


[2]
AgAuCl4: calculated XRD peak list (Cu Ka), based on a PBE-relaxed structure.

Top 6 peaks for 2θ = 15–90°, by angle:
24.4 deg, I 70
28.3 deg, I 100
29.1 deg, I 28
31.8 deg, I 39
38.6 deg, I 37
39.8 deg, I 47

Cell and atoms:
abc: 6.970 6.970 13.207
angles: 115.29 115.29 36.70
Fractional positions:
Ag  0.008  0.992  0.750
Ag  0.992  0.008  0.250
Au  0.500  0.500  0.000
Au  0.500  0.500  0.500
Cl  0.064  0.688  0.854
Cl  0.312  0.936  0.646
Cl  0.332  0.447  0.095
Cl  0.447  0.332  0.595
Cl  0.553  0.668  0.405
Cl  0.668  0.553  0.905
Cl  0.688  0.064  0.354
Cl  0.936  0.312  0.146


[3]
Ag2O3: calculated XRD peak list (Cu Ka), based on a PBE-relaxed structure.

Top 6 peaks for 2θ = 15–90°, by angle:
33.1 deg, I 100
36.6 deg, I 33
37.0 deg, I 42
38.4 deg, I 35
40.6 deg, I 40
55.4 deg, I 47

Cell and atoms:
abc: 5.749 5.749 15.557
angles: 90.00 90.00 146.54
Fractional positions:
Ag  0.094  0.906  0.633
Ag  0.094  0.906  0.867
Ag  0.364  0.636  0.549
Ag  0.364  0.636  0.951
Ag  0.636  0.364  0.049
Ag  0.636  0.364  0.451
Ag  0.906  0.094  0.133
Ag  0.906  0.094  0.367
O  0.000  0.000  0.000
O  0.000  0.000  0.500
O  0.180  0.820  0.750
O  0.287  0.713  0.077
O  0.287  0.713  0.423
O  0.475  0.525  0.654
O  0.475  0.525  0.846
O  0.525  0.475  0.154
O  0.525  0.475  0.346
O  0.713  0.287  0.577
O  0.713  0.287  0.923
O  0.820  0.180  0.250